Entry 1:
This entry pairs a crystal structure of TiTc3W3 with its simulated PXRD pattern. Radiation: λ = 1.5418 Å (Cu Kα). Structure: a cell relaxed with PBE.
Neutral-atom scattering factors, no anomalous dispersion.

Most intense lines, 2θ = 10–90°, most intense first:
Position (°2θ)  Rel. int.  (hkl)
39.88  100.0  1 3 1
37.18  46.8  1 1 3
44.25  44.6  3 1 2
30.07  26.4  2 0 2
35.34  21.8  1 2 2
48.65  19.6  0 2 4
58.81  17.9  5 0 2
69.30  17.5  5 2 0
18.15  16.3  1 1 0
83.09  13.5  0 7 2
29.90  11.0  2 1 1
66.49  11.0  3 3 3

Structure:
Cell lengths 9.7777, 9.7777, 8.3463 Å; angles 90.00, 90.00, 120.00 degrees
Space group R3c (No. 161, hexagonal axes)
One atom of each set of equivalent atoms:
Ti 0.0000 0.0000 0.0000
Tc 0.1879 0.0468 0.2477
W 0.0067 0.4256 0.3093

---

Entry 2:
This entry pairs a crystal structure of Ti5ZnTc4 with its simulated PXRD pattern. Radiation: λ = 1.5418 Å (Cu Kα). Structure: a cell relaxed with PBE.
Neutral-atom scattering factors, no anomalous dispersion.

Most intense lines, 2θ = 10–90°, most intense first:
Position (°2θ)  Rel. int.  (hkl)
40.99  100.0  1 0 5
40.72  51.5  1 1 0
74.31  31.4  2 1 5
58.95  16.4  2 0 0
28.49  15.0  1 0 0
74.85  14.9  1 1 10
88.90  9.6  2 0 10
59.77  7.5  0 0 10
28.85  7.4  0 0 5
50.67  6.6  1 1 5
88.20  5.1  2 2 0
67.52  3.0  1 0 10

Structure:
Cell lengths 3.1333, 3.1333, 15.4723 Å; angles 90.00, 90.00, 90.00 degrees
Space group P4/mmm (No. 123)
One atom of each set of equivalent atoms:
Ti 0.0000 0.0000 0.0000
Ti 0.0000 0.0000 0.1986
Ti 0.0000 0.0000 0.3920
Zn 0.5000 0.5000 0.5000
Tc 0.5000 0.5000 0.1003
Tc 0.5000 0.5000 0.3024

---

Entry 3:
This entry pairs a crystal structure of Zr6TiTc5 with its simulated PXRD pattern. Radiation: λ = 1.5418 Å (Cu Kα). Structure: a cell relaxed with PBE.
Neutral-atom scattering factors, no anomalous dispersion.

Most intense lines, 2θ = 10–90°, most intense first:
Position (°2θ)  Rel. int.  (hkl)
38.37  100.0  1 2 1
38.49  49.5  2 0 -1
69.53  24.4  3 2 0
55.57  16.4  2 0 2
69.29  16.4  2 4 -1
82.17  10.1  2 4 2
55.19  8.4  0 4 0
69.60  7.9  1 2 4
82.43  2.6  4 0 -2
82.54  2.4  0 0 6
13.30  1.5  0 1 0
49.47  1.0  1 0 3

Structure:
Cell lengths 4.6801, 6.6574, 7.3957 Å; angles 90.00, 108.52, 90.00 degrees
Space group P2/m (No. 10)
One atom of each set of equivalent atoms:
Zr 0.0000 0.2403 0.0000
Zr 0.3297 0.2459 0.6593
Ti 0.5000 0.5000 0.0000
Tc 0.1604 0.5000 0.3211
Tc 0.1675 0.0000 0.3353
Tc 0.5000 0.0000 0.0000